# 1
Calculated XRD peak list of Ba5B4O10F2 for Cu Kα X-rays, from DFT lattice parameters and positions (PBE).

Most intense lines, 2θ = 5–70°, by intensity:
2θ/deg	Rel. int.
26.84	100
24.56	98
27.86	87
23.97	67
31.31	51
44.85	51
46.27	50
25.86	50
33.25	50
32.40	45

Structure:
a b c (Å): 11.135 11.135 8.728
angles (deg): 95.06 95.06 37.67
Fractional positions:
Ba 0.056 0.944 0.750
Ba 0.087 0.314 0.303
Ba 0.296 0.534 0.390
Ba 0.314 0.087 0.803
Ba 0.466 0.704 0.110
Ba 0.534 0.296 0.890
Ba 0.686 0.913 0.197
Ba 0.704 0.466 0.610
Ba 0.913 0.686 0.697
Ba 0.944 0.056 0.250
B 0.090 0.723 0.006
B 0.181 0.443 0.083
B 0.277 0.910 0.494
B 0.443 0.181 0.583
B 0.557 0.819 0.417
B 0.723 0.090 0.506
B 0.819 0.557 0.917
B 0.910 0.277 0.994
O 0.076 0.549 0.214
O 0.093 0.099 0.045
O 0.099 0.093 0.545
O 0.153 0.549 0.967
O 0.224 0.693 0.083
O 0.250 0.308 0.556
O 0.307 0.776 0.417
O 0.308 0.250 0.056
O 0.451 0.847 0.533
O 0.451 0.924 0.286
O 0.549 0.076 0.714
O 0.549 0.153 0.467
O 0.692 0.750 0.944
O 0.693 0.224 0.583
O 0.750 0.692 0.444
O 0.776 0.307 0.917
O 0.847 0.451 0.033
O 0.901 0.907 0.455
O 0.907 0.901 0.955
O 0.924 0.451 0.786
F 0.243 0.595 0.693
F 0.405 0.757 0.807
F 0.595 0.243 0.193
F 0.757 0.405 0.307


# 2
Calculated XRD peak list of Ba3Sr4B3O9F5 for Cu Kα X-rays, from DFT lattice parameters and positions (PBE).

Most intense lines, 2θ = 5–70°, by intensity:
2θ/deg	Rel. int.
28.01	100
32.92	74
22.63	65
49.32	47
26.79	42
31.12	39
25.01	36
50.06	35
48.07	34
31.51	34

Structure:
a b c (Å): 10.884 10.884 7.114
angles (deg): 90.00 90.00 120.00
Fractional positions:
Ba 0.141 0.281 0.000
Ba 0.141 0.859 0.000
Ba 0.281 0.141 0.500
Ba 0.719 0.859 0.000
Ba 0.859 0.141 0.500
Ba 0.859 0.719 0.500
Sr 0.071 0.536 0.340
Sr 0.333 0.667 0.769
Sr 0.464 0.536 0.340
Sr 0.464 0.929 0.340
Sr 0.536 0.071 0.840
Sr 0.536 0.464 0.840
Sr 0.667 0.333 0.269
Sr 0.929 0.464 0.840
B 0.189 0.378 0.560
B 0.189 0.811 0.560
B 0.378 0.189 0.060
B 0.622 0.811 0.560
B 0.811 0.189 0.060
B 0.811 0.622 0.060
O 0.091 0.402 0.654
O 0.091 0.689 0.654
O 0.166 0.332 0.375
O 0.166 0.834 0.375
O 0.311 0.402 0.654
O 0.311 0.909 0.654
O 0.332 0.166 0.875
O 0.402 0.091 0.154
O 0.402 0.311 0.154
O 0.598 0.689 0.654
O 0.598 0.909 0.654
O 0.668 0.834 0.375
O 0.689 0.091 0.154
O 0.689 0.598 0.154
O 0.834 0.166 0.875
O 0.834 0.668 0.875
O 0.909 0.311 0.154
O 0.909 0.598 0.154
F 0.000 0.000 0.091
F 0.000 0.000 0.591
F 0.155 0.577 0.015
F 0.333 0.667 0.420
F 0.423 0.577 0.015
F 0.423 0.845 0.015
F 0.577 0.155 0.515
F 0.577 0.423 0.515
F 0.667 0.333 0.920
F 0.845 0.423 0.515


# 3
Calculated XRD peak list of Ba5Zn2B4O12F2 for Cu Kα X-rays, from DFT lattice parameters and positions (PBE).

Most intense lines, 2θ = 5–70°, by intensity:
2θ/deg	Rel. int.
26.57	100
31.32	71
27.69	69
28.70	52
31.68	47
35.11	46
21.41	45
26.71	41
46.08	40
29.91	36

Structure:
a b c (Å): 13.521 13.521 8.177
angles (deg): 105.09 105.09 31.84
Fractional positions:
Ba 0.070 0.930 0.750
Ba 0.076 0.260 0.405
Ba 0.260 0.076 0.905
Ba 0.316 0.534 0.337
Ba 0.466 0.684 0.163
Ba 0.534 0.316 0.837
Ba 0.684 0.466 0.663
Ba 0.740 0.924 0.095
Ba 0.924 0.740 0.595
Ba 0.930 0.070 0.250
Zn 0.157 0.462 0.981
Zn 0.462 0.157 0.481
Zn 0.538 0.843 0.519
Zn 0.843 0.538 0.019
B 0.117 0.730 0.972
B 0.123 0.427 0.273
B 0.270 0.883 0.528
B 0.427 0.123 0.773
B 0.573 0.877 0.227
B 0.730 0.117 0.472
B 0.877 0.573 0.727
B 0.883 0.270 0.028
O 0.068 0.111 0.092
O 0.078 0.369 0.166
O 0.096 0.540 0.224
O 0.111 0.068 0.592
O 0.191 0.374 0.440
O 0.208 0.562 0.979
O 0.223 0.731 0.039
O 0.269 0.777 0.461
O 0.369 0.078 0.666
O 0.374 0.191 0.940
O 0.438 0.792 0.521
O 0.460 0.904 0.276
O 0.540 0.096 0.724
O 0.562 0.208 0.479
O 0.626 0.809 0.060
O 0.631 0.922 0.334
O 0.731 0.223 0.539
O 0.777 0.269 0.961
O 0.792 0.438 0.021
O 0.809 0.626 0.560
O 0.889 0.932 0.408
O 0.904 0.460 0.776
O 0.922 0.631 0.834
O 0.932 0.889 0.908
F 0.234 0.610 0.649
F 0.390 0.766 0.851
F 0.610 0.234 0.149
F 0.766 0.390 0.351


# 4
Calculated XRD peak list of BaBPF10 for Cu Kα X-rays, from DFT lattice parameters and positions (PBE).

Most intense lines, 2θ = 5–70°, by intensity:
2θ/deg	Rel. int.
24.15	100
16.84	45
22.06	43
41.41	38
17.18	30
29.59	27
45.00	27
45.73	22
45.59	21
38.39	21

Structure:
a b c (Å): 10.528 10.528 6.261
angles (deg): 90.00 90.00 120.00
Fractional positions:
Ba 0.000 0.000 0.000
Ba 0.333 0.667 0.500
Ba 0.667 0.333 0.500
B 0.000 0.752 0.500
B 0.248 0.248 0.500
B 0.752 0.000 0.500
P 0.000 0.439 0.000
P 0.439 0.000 0.000
P 0.561 0.561 0.000
F 0.000 0.284 0.000
F 0.000 0.592 0.000
F 0.000 0.829 0.315
F 0.000 0.829 0.685
F 0.127 0.737 0.500
F 0.128 0.501 0.186
F 0.128 0.501 0.814
F 0.171 0.171 0.315
F 0.171 0.171 0.685
F 0.263 0.389 0.500
F 0.284 0.000 0.000
F 0.373 0.872 0.186
F 0.373 0.872 0.814
F 0.389 0.263 0.500
F 0.408 0.408 0.000
F 0.499 0.627 0.186
F 0.499 0.627 0.814
F 0.501 0.128 0.186
F 0.501 0.128 0.814
F 0.592 0.000 0.000
F 0.611 0.873 0.500
F 0.627 0.499 0.186
F 0.627 0.499 0.814
F 0.716 0.716 0.000
F 0.737 0.127 0.500
F 0.829 0.000 0.315
F 0.829 0.000 0.685
F 0.872 0.373 0.186
F 0.872 0.373 0.814
F 0.873 0.611 0.500


# 5
Calculated XRD peak list of Rb2BaBF6 for Cu Kα X-rays, from DFT lattice parameters and positions (PBE).

Most intense lines, 2θ = 5–70°, by intensity:
2θ/deg	Rel. int.
26.78	100
28.59	35
49.54	32
40.87	28
41.98	18
16.68	17
35.44	15
33.28	15
55.18	15
30.08	15

Structure:
a b c (Å): 6.721 6.721 6.721
angles (deg): 124.63 124.63 82.15
Fractional positions:
Rb 0.250 0.750 0.500
Rb 0.750 0.250 0.500
Ba 0.000 0.000 0.000
B 0.500 0.500 0.000
F 0.288 0.288 0.577
F 0.288 0.712 0.000
F 0.360 0.360 0.000
F 0.640 0.640 0.000
F 0.712 0.288 0.000
F 0.712 0.712 0.423